# ErGaRh2
Calculated powder XRD pattern, Cu Kα X-rays. Input: a crystal structure in the Materials Project, relaxed with PBE.
Lines closer than 0.1° are merged.

Peak list (8 most intense, 10 to 90 degrees two-theta, by angle)
2θ (°)	I (rel.)
24.0	10
39.6	100
46.8	5
57.3	17
63.0	2
71.9	34
77.0	2
85.4	11

```
ErGaRh2
1.0
0.0000 3.2167 3.2167
3.2167 0.0000 3.2167
3.2167 3.2167 0.0000
Er Ga Rh
1 1 2
Direct
0.0000 0.0000 0.0000 Er
0.5000 0.5000 0.5000 Ga
0.2500 0.2500 0.2500 Rh
0.7500 0.7500 0.7500 Rh
```



# K2TiPCO7
Calculated powder XRD pattern, Cu Kα X-rays. Input: a crystal structure in the Materials Project, relaxed with PBE.
Lines closer than 0.1° are merged.

Peak list (12 most intense, 10 to 90 degrees two-theta, by angle)
2θ (°)	I (rel.)
15.9	46
20.2	26
22.1	31
23.9	24
24.2	45
31.2	58
31.6	25
31.8	51
31.9	52
32.0	100
40.7	22
53.6	21

```
K2TiPCO7
1.0
5.7316 0.0000 0.0000
0.0000 6.8368 0.0000
-0.1539 0.0000 9.6886
K Ti P C O
4 2 2 2 14
Direct
0.2474 0.0171 0.2361 K
0.2474 0.4829 0.2361 K
0.7526 0.5171 0.7639 K
0.7526 0.9829 0.7639 K
0.2267 0.2500 0.6363 Ti
0.7733 0.7500 0.3637 Ti
0.2766 0.7500 0.5644 P
0.7234 0.2500 0.4356 P
0.2716 0.2500 0.8982 C
0.7284 0.7500 0.1018 C
0.0699 0.2500 0.8303 O
0.1054 0.7500 0.4370 O
0.2415 0.5634 0.6515 O
0.2415 0.9366 0.6515 O
0.2906 0.2500 0.0274 O
0.4496 0.2500 0.8135 O
0.4671 0.2500 0.4920 O
0.5329 0.7500 0.5080 O
0.5504 0.7500 0.1865 O
0.7094 0.7500 0.9726 O
0.7585 0.0634 0.3485 O
0.7585 0.4366 0.3485 O
0.8946 0.2500 0.5630 O
0.9301 0.7500 0.1697 O
```